# 1
Theoretical X-ray powder pattern of TaNi4Pd2 for Cu Ka, from the GGA-PBE geometry in Alexandria.
No peak broadening, texture or thermal motion is included.

Peak list (10 most intense, 2θ from 10° to 80°, by angle)
19.3°, d = 4.603 Å, I = 9.6
26.9°, d = 3.309 Å, I = 10.4
33.3°, d = 2.687 Å, I = 10.1
35.0°, d = 2.566 Å, I = 86.8
38.5°, d = 2.340 Å, I = 100.0
48.2°, d = 1.889 Å, I = 16.9
53.0°, d = 1.729 Å, I = 52.9
55.5°, d = 1.655 Å, I = 33.4
56.0°, d = 1.641 Å, I = 9.5
67.3°, d = 1.391 Å, I = 22.6

Crystal structure
```
TaNi4Pd2
1.0
-2.340 2.340 4.603
2.340 -2.340 4.603
2.340 2.340 -4.603
Ta Ni Pd
1 4 2
direct
0.000 0.000 0.000
0.000 0.500 0.500
0.250 0.750 0.500
0.500 0.000 0.500
0.750 0.250 0.500
0.354 0.354 0.000
0.646 0.646 0.000
```


# 2
Theoretical X-ray powder pattern of TbZn5Ni2Pd for Cu Ka, from the GGA-PBE geometry in Alexandria.
No peak broadening, texture or thermal motion is included.

Peak list (10 most intense, 2θ from 10° to 80°, by angle)
27.3°, d = 3.265 Å, I = 15.1
30.2°, d = 2.955 Å, I = 13.4
32.3°, d = 2.775 Å, I = 39.3
37.8°, d = 2.379 Å, I = 99.9
38.9°, d = 2.315 Å, I = 20.1
39.0°, d = 2.309 Å, I = 100.0
51.5°, d = 1.775 Å, I = 20.8
56.3°, d = 1.634 Å, I = 59.1
69.9°, d = 1.346 Å, I = 31.3
70.6°, d = 1.334 Å, I = 12.7

Crystal structure
```
TbZn5Ni2Pd
1.0
4.618 0.000 0.000
0.000 4.618 0.000
0.000 0.000 6.945
Tb Zn Ni Pd
1 5 2 1
direct
0.000 0.000 0.000
0.000 0.500 0.298
0.000 0.500 0.702
0.500 0.000 0.298
0.500 0.000 0.702
0.500 0.500 0.000
0.500 0.500 0.335
0.500 0.500 0.665
0.000 0.000 0.500
```


# 3
Theoretical X-ray powder pattern of NiTe3Pd for Cu Ka, from the GGA-PBE geometry in Alexandria.
No peak broadening, texture or thermal motion is included.

Peak list (10 most intense, 2θ from 10° to 80°, by angle)
27.9°, d = 3.202 Å, I = 12.7
30.5°, d = 2.933 Å, I = 100.0
33.5°, d = 2.672 Å, I = 5.6
41.3°, d = 2.186 Å, I = 7.7
41.8°, d = 2.160 Å, I = 51.7
45.4°, d = 1.998 Å, I = 38.4
46.8°, d = 1.942 Å, I = 5.6
55.7°, d = 1.652 Å, I = 16.4
56.5°, d = 1.628 Å, I = 9.7
63.4°, d = 1.466 Å, I = 8.5

Crystal structure
```
NiTe3Pd
1.0
1.999 -10.368 0.000
1.999 10.368 0.000
0.000 0.000 5.531
Ni Te Pd
2 6 2
direct
0.175 0.825 0.500
0.825 0.175 0.000
0.059 0.941 0.697
0.287 0.713 0.279
0.369 0.631 0.735
0.631 0.369 0.235
0.713 0.287 0.779
0.941 0.059 0.197
0.483 0.517 0.494
0.517 0.483 0.994
```


# 4
Theoretical X-ray powder pattern of Ni2TePd9 for Cu Ka, from the GGA-PBE geometry in Alexandria.
No peak broadening, texture or thermal motion is included.

Peak list (10 most intense, 2θ from 10° to 80°, by angle)
35.6°, d = 2.524 Å, I = 2.0
38.2°, d = 2.358 Å, I = 1.7
39.6°, d = 2.277 Å, I = 100.0
44.7°, d = 2.027 Å, I = 1.0
45.9°, d = 1.975 Å, I = 33.4
46.2°, d = 1.964 Å, I = 14.6
61.2°, d = 1.514 Å, I = 1.6
67.0°, d = 1.397 Å, I = 10.5
67.2°, d = 1.393 Å, I = 18.5
72.5°, d = 1.303 Å, I = 1.6

Crystal structure
```
Ni2TePd9
1.0
3.951 0.000 0.000
0.000 3.951 0.000
0.000 0.000 11.785
Ni Te Pd
2 1 9
direct
0.000 0.000 0.156
0.000 0.000 0.844
0.000 0.000 0.500
0.000 0.500 0.000
0.000 0.500 0.320
0.000 0.500 0.680
0.500 0.000 0.000
0.500 0.000 0.320
0.500 0.000 0.680
0.500 0.500 0.160
0.500 0.500 0.500
0.500 0.500 0.840
```


# 5
Theoretical X-ray powder pattern of Ni2Te3Pd for Cu Ka, from the GGA-PBE geometry in Alexandria.
No peak broadening, texture or thermal motion is included.

Peak list (10 most intense, 2θ from 10° to 80°, by angle)
13.7°, d = 6.453 Å, I = 100.0
27.4°, d = 3.261 Å, I = 46.8
28.2°, d = 3.169 Å, I = 67.2
28.6°, d = 3.121 Å, I = 69.0
31.1°, d = 2.879 Å, I = 85.9
34.5°, d = 2.596 Å, I = 38.6
37.0°, d = 2.429 Å, I = 71.7
41.3°, d = 2.187 Å, I = 73.7
44.1°, d = 2.052 Å, I = 78.4
48.2°, d = 1.889 Å, I = 55.4

Crystal structure
```
Ni2Te3Pd
1.0
7.336 0.000 0.000
0.000 3.778 0.000
-2.198 0.000 9.507
Ni Te Pd
4 6 2
direct
0.044 0.250 0.419
0.390 0.750 0.898
0.610 0.250 0.102
0.956 0.750 0.581
0.040 0.750 0.843
0.271 0.750 0.496
0.412 0.750 0.158
0.588 0.250 0.842
0.729 0.250 0.504
0.960 0.250 0.157
0.219 0.250 0.700
0.781 0.750 0.300
```


# 6
Theoretical X-ray powder pattern of NiTePd for Cu Ka, from the GGA-PBE geometry in Alexandria.
No peak broadening, texture or thermal motion is included.

Peak list (10 most intense, 2θ from 10° to 80°, by angle)
27.4°, d = 3.252 Å, I = 55.8
31.2°, d = 2.868 Å, I = 47.4
37.3°, d = 2.408 Å, I = 70.3
37.6°, d = 2.392 Å, I = 87.7
40.4°, d = 2.233 Å, I = 100.0
43.2°, d = 2.092 Å, I = 59.0
44.9°, d = 2.018 Å, I = 41.2
45.5°, d = 1.993 Å, I = 52.5
47.6°, d = 1.909 Å, I = 70.6
49.6°, d = 1.837 Å, I = 44.9

Crystal structure
```
NiTePd
1.0
3.911 0.000 0.000
-0.960 4.417 0.000
-0.071 -0.141 6.122
Ni Te Pd
2 2 2
direct
0.200 0.286 0.032
0.800 0.714 0.968
0.316 0.809 0.235
0.684 0.191 0.765
0.274 0.621 0.654
0.726 0.379 0.346
```


# 7
Theoretical X-ray powder pattern of Ni2TePd8 for Cu Ka, from the GGA-PBE geometry in Alexandria.
No peak broadening, texture or thermal motion is included.

Peak list (10 most intense, 2θ from 10° to 80°, by angle)
18.7°, d = 4.745 Å, I = 6.8
27.2°, d = 3.278 Å, I = 10.8
39.4°, d = 2.289 Å, I = 100.0
41.3°, d = 2.185 Å, I = 89.6
44.3°, d = 2.046 Å, I = 71.0
52.0°, d = 1.759 Å, I = 22.7
61.5°, d = 1.507 Å, I = 11.8
67.2°, d = 1.394 Å, I = 11.0
70.6°, d = 1.334 Å, I = 34.0
76.9°, d = 1.240 Å, I = 24.1

Crystal structure
```
Ni2TePd8
1.0
3.518 0.000 0.000
0.000 5.575 0.000
0.000 0.000 9.040
Ni Te Pd
2 1 8
direct
0.000 0.249 0.000
0.000 0.751 0.000
0.500 0.000 0.500
0.000 0.257 0.336
0.000 0.257 0.664
0.000 0.743 0.336
0.000 0.743 0.664
0.500 0.000 0.151
0.500 0.000 0.849
0.500 0.500 0.152
0.500 0.500 0.848
```


# 8
Theoretical X-ray powder pattern of Ni4Te9Pd2 for Cu Ka, from the GGA-PBE geometry in Alexandria.
No peak broadening, texture or thermal motion is included.

Peak list (10 most intense, 2θ from 10° to 80°, by angle)
18.3°, d = 4.856 Å, I = 13.8
30.6°, d = 2.925 Å, I = 100.0
31.5°, d = 2.839 Å, I = 8.7
37.0°, d = 2.428 Å, I = 10.2
41.4°, d = 2.183 Å, I = 44.1
46.1°, d = 1.970 Å, I = 40.5
55.5°, d = 1.655 Å, I = 18.2
56.3°, d = 1.634 Å, I = 15.1
63.6°, d = 1.463 Å, I = 11.0
75.6°, d = 1.258 Å, I = 10.1

Crystal structure
```
Ni4Te9Pd2
1.0
6.825 0.000 0.000
-3.413 5.911 0.000
0.000 0.000 17.036
Ni Te Pd
8 18 4
direct
0.333 0.667 0.181
0.333 0.667 0.486
0.333 0.667 0.681
0.333 0.667 0.986
0.667 0.333 0.014
0.667 0.333 0.319
0.667 0.333 0.514
0.667 0.333 0.819
0.000 0.323 0.250
0.000 0.677 0.750
0.024 0.370 0.582
0.024 0.654 0.082
0.323 0.000 0.250
0.323 0.323 0.750
0.346 0.370 0.082
0.346 0.976 0.582
0.370 0.024 0.918
0.370 0.346 0.418
0.630 0.654 0.582
0.630 0.976 0.082
0.654 0.024 0.418
0.654 0.630 0.918
0.677 0.000 0.750
0.677 0.677 0.250
0.976 0.346 0.918
0.976 0.630 0.418
0.000 0.000 0.151
0.000 0.000 0.349
0.000 0.000 0.651
0.000 0.000 0.849
```


# 9
Theoretical X-ray powder pattern of Th3Ni2Pd for Cu Ka, from the GGA-PBE geometry in Alexandria.
No peak broadening, texture or thermal motion is included.

Peak list (10 most intense, 2θ from 10° to 80°, by angle)
28.3°, d = 3.157 Å, I = 100.0
29.1°, d = 3.066 Å, I = 10.5
38.2°, d = 2.356 Å, I = 41.2
42.5°, d = 2.126 Å, I = 37.0
51.1°, d = 1.787 Å, I = 20.3
51.9°, d = 1.763 Å, I = 15.0
52.4°, d = 1.747 Å, I = 8.8
58.5°, d = 1.578 Å, I = 10.7
69.2°, d = 1.357 Å, I = 9.5
76.6°, d = 1.243 Å, I = 10.2

Crystal structure
```
Th3Ni2Pd
1.0
3.683 2.126 6.131
-3.683 2.126 6.131
0.000 -4.252 6.131
Th Ni Pd
6 4 2
direct
0.049 0.750 0.451
0.250 0.549 0.951
0.451 0.049 0.750
0.549 0.951 0.250
0.750 0.451 0.049
0.951 0.250 0.549
0.148 0.148 0.148
0.352 0.352 0.352
0.648 0.648 0.648
0.852 0.852 0.852
0.000 0.000 0.000
0.500 0.500 0.500
```


# 10
Theoretical X-ray powder pattern of Th2Ni2Pd for Cu Ka, from the GGA-PBE geometry in Alexandria.
No peak broadening, texture or thermal motion is included.

Peak list (10 most intense, 2θ from 10° to 80°, by angle)
27.1°, d = 3.286 Å, I = 32.0
34.2°, d = 2.619 Å, I = 54.4
34.5°, d = 2.598 Å, I = 13.8
36.4°, d = 2.467 Å, I = 100.0
38.8°, d = 2.324 Å, I = 33.3
48.8°, d = 1.867 Å, I = 15.6
51.3°, d = 1.782 Å, I = 18.5
57.3°, d = 1.608 Å, I = 25.2
58.8°, d = 1.571 Å, I = 17.7
64.0°, d = 1.456 Å, I = 15.2

Crystal structure
```
Th2Ni2Pd
1.0
7.348 0.000 0.000
0.000 7.348 0.000
0.000 0.000 3.735
Th Ni Pd
4 4 2
direct
0.178 0.322 0.000
0.322 0.822 0.000
0.678 0.178 0.000
0.822 0.678 0.000
0.122 0.622 0.500
0.378 0.122 0.500
0.622 0.878 0.500
0.878 0.378 0.500
0.000 0.000 0.500
0.500 0.500 0.500
```


# 11
Theoretical X-ray powder pattern of Th4NiPd for Cu Ka, from the GGA-PBE geometry in Alexandria.
No peak broadening, texture or thermal motion is included.

Peak list (10 most intense, 2θ from 10° to 80°, by angle)
30.0°, d = 2.978 Å, I = 16.3
31.6°, d = 2.835 Å, I = 100.0
34.9°, d = 2.571 Å, I = 13.8
39.2°, d = 2.296 Å, I = 23.1
39.5°, d = 2.280 Å, I = 23.6
54.3°, d = 1.691 Å, I = 22.5
54.7°, d = 1.678 Å, I = 20.4
63.0°, d = 1.476 Å, I = 17.6
72.0°, d = 1.312 Å, I = 9.2
72.4°, d = 1.306 Å, I = 9.6

Crystal structure
```
Th4NiPd
1.0
7.209 0.000 0.000
0.000 7.209 0.000
0.000 0.000 5.956
Th Ni Pd
8 2 2
direct
0.159 0.328 0.000
0.159 0.672 0.500
0.328 0.159 0.500
0.328 0.841 0.000
0.672 0.159 0.000
0.672 0.841 0.500
0.841 0.328 0.500
0.841 0.672 0.000
0.000 0.000 0.250
0.000 0.000 0.750
0.500 0.500 0.250
0.500 0.500 0.750
```


# 12
Theoretical X-ray powder pattern of ThNiPd for Cu Ka, from the GGA-PBE geometry in Alexandria.
No peak broadening, texture or thermal motion is included.

Peak list (10 most intense, 2θ from 10° to 80°, by angle)
22.5°, d = 3.959 Å, I = 19.3
30.2°, d = 2.961 Å, I = 25.7
31.2°, d = 2.868 Å, I = 24.2
32.9°, d = 2.723 Å, I = 69.4
34.8°, d = 2.575 Å, I = 67.0
36.3°, d = 2.476 Å, I = 100.0
37.4°, d = 2.403 Å, I = 31.4
40.7°, d = 2.215 Å, I = 53.6
41.3°, d = 2.186 Å, I = 46.5
71.5°, d = 1.319 Å, I = 24.0

Crystal structure
```
ThNiPd
1.0
6.356 0.000 0.000
0.000 5.323 0.000
-2.654 0.000 6.810
Th Ni Pd
4 4 4
direct
0.202 0.120 0.382
0.202 0.380 0.882
0.798 0.620 0.118
0.798 0.880 0.618
0.161 0.633 0.512
0.161 0.867 0.012
0.839 0.133 0.988
0.839 0.367 0.488
0.422 0.584 0.297
0.422 0.916 0.797
0.578 0.084 0.203
0.578 0.416 0.703
```


# 13
Theoretical X-ray powder pattern of Th3Ni4Pd2 for Cu Ka, from the GGA-PBE geometry in Alexandria.
No peak broadening, texture or thermal motion is included.

Peak list (10 most intense, 2θ from 10° to 80°, by angle)
28.2°, d = 3.163 Å, I = 62.8
30.9°, d = 2.893 Å, I = 49.1
32.0°, d = 2.794 Å, I = 100.0
35.4°, d = 2.536 Å, I = 50.7
38.3°, d = 2.349 Å, I = 24.1
40.4°, d = 2.232 Å, I = 93.0
42.4°, d = 2.132 Å, I = 44.9
44.0°, d = 2.058 Å, I = 27.8
47.4°, d = 1.916 Å, I = 31.1
64.0°, d = 1.454 Å, I = 48.2

Crystal structure
```
Th3Ni4Pd2
1.0
-1.916 4.459 5.074
1.916 -4.459 5.074
1.916 4.459 -5.074
Th Ni Pd
3 4 2
direct
0.000 0.000 0.000
0.331 0.831 0.500
0.669 0.169 0.500
0.013 0.203 0.810
0.393 0.203 0.190
0.607 0.797 0.810
0.987 0.797 0.190
0.267 0.500 0.767
0.733 0.500 0.233
```